# 1
SrPr2UAs4: computed X-ray powder pattern (Cu Kα (weighted mean of Kα1 and Kα2)), based on a crystal structure in Alexandria, relaxed with PBE.
Peak positions follow from Bragg's law for the DFT cell and can differ from measured ones.

a = 8.5406 Å, b = 8.5755 Å, c = 12.1280 Å
α = 90.00°, β = 90.00°, γ = 90.00°
Space group F222 (No. 22)
Asymmetric unit:
Sr1 0.0000 0.0000 0.0000 [4 per cell]
Pr1 0.0000 0.0000 0.5000 [4 per cell]
Pr2 0.2500 0.2500 0.2500 [4 per cell]
U1 0.2500 0.2500 0.7500 [4 per cell]
As1 0.0000 0.0000 0.2547 [8 per cell]
As2 0.2500 0.2500 0.5156 [8 per cell]

Main lines, in order of rising 2θ (10 to 80 degrees two-theta):
25.48 deg, intensity 20, hkl 2 0 2; 29.50 deg, intensity 100, hkl 2 2 0; 42.19 deg, intensity 62, hkl 0 4 0; 52.26 deg, intensity 13, hkl 0 4 4; 52.41 deg, intensity 13, hkl 4 0 4; 69.37 deg, intensity 28, hkl 2 6 0

=====

# 2
Tb5Pr3As8: computed X-ray powder pattern (Cu Kα (weighted mean of Kα1 and Kα2)), based on a crystal structure in Alexandria, relaxed with PBE.
Peak positions follow from Bragg's law for the DFT cell and can differ from measured ones.

a = 8.4061 Å, b = 8.4061 Å, c = 20.5945 Å
α = 90.00°, β = 90.00°, γ = 120.00°
Space group R-3m (No. 166, hexagonal axes)
Asymmetric unit:
Tb1 0.0000 0.0000 0.0000 [3 per cell]
Tb2 0.0000 0.0000 0.5000 [3 per cell]
Tb3 0.0000 0.5000 0.0000 [9 per cell]
Pr1 0.0000 0.5000 0.5000 [9 per cell]
As1 0.0000 0.0000 0.2535 [6 per cell]
As2 0.0045 0.5022 0.2522 [18 per cell]

Main lines, in order of rising 2θ (10 to 80 degrees two-theta):
25.96 deg, intensity 20, hkl 0 0 6; 30.07 deg, intensity 100, hkl 0 2 4; 43.04 deg, intensity 75, hkl 2 2 0; 53.39 deg, intensity 26, hkl 4 0 4; 70.90 deg, intensity 34, hkl 2 4 4; 78.89 deg, intensity 25, hkl 6 0 0

=====

# 3
Tb2PrAs3: computed X-ray powder pattern (Cu Kα (weighted mean of Kα1 and Kα2)), based on a crystal structure in Alexandria, relaxed with PBE.
Peak positions follow from Bragg's law for the DFT cell and can differ from measured ones.

a = 4.1985 Å, b = 5.9395 Å, c = 12.5836 Å
α = 90.00°, β = 90.00°, γ = 90.00°
Space group Immm (No. 71)
Asymmetric unit:
Tb1 0.0000 0.0000 0.1659 [4 per cell]
Pr1 0.0000 0.0000 0.5000 [2 per cell]
As1 0.0000 0.5000 0.1720 [4 per cell]
As2 0.0000 0.5000 0.5000 [2 per cell]

Main lines, in order of rising 2θ (10 to 80 degrees two-theta):
26.00 deg, intensity 20, hkl 0 1 3; 30.11 deg, intensity 100, hkl 0 2 0; 43.10 deg, intensity 75, hkl 2 0 0; 53.47 deg, intensity 26, hkl 2 2 0; 71.01 deg, intensity 34, hkl 3 0 3; 79.02 deg, intensity 25, hkl 2 4 0

=====

# 4
TbPr2As3: computed X-ray powder pattern (Cu Kα (weighted mean of Kα1 and Kα2)), based on a crystal structure in Alexandria, relaxed with PBE.
Peak positions follow from Bragg's law for the DFT cell and can differ from measured ones.

a = 4.2566 Å, b = 4.2566 Å, c = 18.0380 Å
α = 90.00°, β = 90.00°, γ = 90.00°
Space group I4/mmm (No. 139)
Asymmetric unit:
Tb1 0.0000 0.0000 0.0000 [2 per cell]
Pr1 0.0000 0.0000 0.3339 [4 per cell]
As1 0.0000 0.0000 0.1638 [4 per cell]
As2 0.0000 0.0000 0.5000 [2 per cell]

Main lines, in order of rising 2θ (10 to 80 degrees two-theta):
25.64 deg, intensity 18, hkl 1 0 3; 29.69 deg, intensity 100, hkl 1 1 0; 42.49 deg, intensity 75, hkl 2 0 0; 52.69 deg, intensity 27, hkl 2 0 6; 69.91 deg, intensity 34, hkl 3 1 0; 77.75 deg, intensity 25, hkl 3 1 6